Structure and computed powder diffraction line list of CsMo2P3O13 (a cell relaxed with GGA+U; Cu Kα).

Crystal structure
```
data_CsMo2P3O13
_chemical_formula_sum 'Cs2 Mo4 P6 O26'
_symmetry_space_group_name_H-M 'P 1 2/c 1'
_symmetry_Int_Tables_number 13
_symmetry_space_group_name_Hall '-P 2yc'
_cell_length_a 7.979
_cell_length_b 8.632
_cell_length_c 9.160
_cell_angle_alpha 90.00
_cell_angle_beta 99.87
_cell_angle_gamma 90.00
loop_
_atom_site_label
_atom_site_type_symbol
_atom_site_fract_x
_atom_site_fract_y
_atom_site_fract_z
Cs1 Cs 0.000 0.175 0.250
Mo1 Mo 0.296 0.236 0.936
P1 P 0.355 0.439 0.640
P2 P 0.500 0.045 0.250
O1 O 0.093 0.165 0.922
O2 O 0.246 0.356 0.737
O3 O 0.248 0.439 0.045
O4 O 0.379 0.149 0.142
O5 O 0.387 0.052 0.835
O6 O 0.448 0.328 0.551
O7 O 0.500 0.466 0.250
```

Main lines, in order of rising 2θ (2θ from 10° to 90°):
| 2theta | intensity |
| --- | --- |
| 19.18 | 1000 |
| 20.58 | 135 |
| 20.95 | 113 |
| 22.84 | 183 |
| 25.31 | 374 |
| 27.42 | 167 |
| 29.53 | 394 |
| 31.10 | 132 |
| 31.49 | 311 |
| 51.08 | 142 |